# NdLuMgPd
Computed PXRD pattern, Cu Kα X-rays. Input: DFT lattice parameters and positions (PBE).

Cell and atoms:
a b c (Å): 7.306 7.306 7.306
angles (deg): 90.00 90.00 90.00
Fractional coordinates of all 16 atoms:
Nd 0.000 0.000 0.000
Nd 0.000 0.500 0.500
Nd 0.500 0.000 0.500
Nd 0.500 0.500 0.000
Lu 0.000 0.000 0.500
Lu 0.000 0.500 0.000
Lu 0.500 0.000 0.000
Lu 0.500 0.500 0.500
Mg 0.250 0.250 0.250
Mg 0.250 0.750 0.750
Mg 0.750 0.250 0.750
Mg 0.750 0.750 0.250
Pd 0.250 0.250 0.750
Pd 0.250 0.750 0.250
Pd 0.750 0.250 0.250
Pd 0.750 0.750 0.750

Most intense lines, 10 to 90 degrees two-theta, most intense first:
- 2θ 34.73, rel. 100
- 2θ 62.26, rel. 37
- 2θ 24.37, rel. 20
- 2θ 49.93, rel. 18
- 2θ 83.73, rel. 16
- 2θ 73.30, rel. 11
- 2θ 21.06, rel. 9
- 2θ 56.32, rel. 9
- 2θ 42.88, rel. 6
- 2θ 40.97, rel. 5
- 2θ 78.56, rel. 4
- 2θ 88.85, rel. 3

---

# LuMgPa
Computed PXRD pattern, Cu Kα X-rays. Input: DFT lattice parameters and positions (PBE).

Cell and atoms:
a b c (Å): 3.244 3.244 8.549
angles (deg): 90.00 90.00 120.00
Fractional coordinates of all 3 atoms:
Lu 0.000 0.000 0.000
Mg 0.333 0.667 0.667
Pa 0.667 0.333 0.331

Most intense lines, 10 to 90 degrees two-theta, most intense first:
- 2θ 33.58, rel. 100
- 2θ 10.35, rel. 77
- 2θ 38.34, rel. 71
- 2θ 31.39, rel. 34
- 2θ 53.90, rel. 26
- 2θ 66.30, rel. 24
- 2θ 56.75, rel. 19
- 2θ 31.85, rel. 17
- 2θ 63.71, rel. 17
- 2θ 20.78, rel. 15
- 2θ 67.58, rel. 14
- 2θ 45.33, rel. 14

---

# TmLuMgPb
Computed PXRD pattern, Cu Kα X-rays. Input: DFT lattice parameters and positions (PBE).

Cell and atoms:
a b c (Å): 7.484 7.484 7.484
angles (deg): 90.00 90.00 90.00
Fractional coordinates of all 16 atoms:
Tm 0.000 0.000 0.000
Tm 0.000 0.500 0.500
Tm 0.500 0.000 0.500
Tm 0.500 0.500 0.000
Lu 0.000 0.000 0.500
Lu 0.000 0.500 0.000
Lu 0.500 0.000 0.000
Lu 0.500 0.500 0.500
Mg 0.250 0.250 0.250
Mg 0.250 0.750 0.750
Mg 0.750 0.250 0.750
Mg 0.750 0.750 0.250
Pb 0.250 0.250 0.750
Pb 0.250 0.750 0.250
Pb 0.750 0.250 0.250
Pb 0.750 0.750 0.750

Most intense lines, 10 to 90 degrees two-theta, most intense first:
- 2θ 33.88, rel. 100
- 2θ 60.61, rel. 38
- 2θ 20.55, rel. 22
- 2θ 48.66, rel. 18
- 2θ 81.31, rel. 17
- 2θ 39.95, rel. 13
- 2θ 71.28, rel. 12
- 2θ 53.36, rel. 6
- 2θ 23.78, rel. 5
- 2θ 75.09, rel. 4
- 2θ 64.72, rel. 4
- 2θ 54.86, rel. 2

---

# PmLuPuMg
Computed PXRD pattern, Cu Kα X-rays. Input: DFT lattice parameters and positions (PBE).

Cell and atoms:
a b c (Å): 7.719 7.719 7.719
angles (deg): 90.00 90.00 90.00
Fractional coordinates of all 16 atoms:
Pm 0.000 0.000 0.000
Pm 0.000 0.500 0.500
Pm 0.500 0.000 0.500
Pm 0.500 0.500 0.000
Lu 0.000 0.000 0.500
Lu 0.000 0.500 0.000
Lu 0.500 0.000 0.000
Lu 0.500 0.500 0.500
Pu 0.250 0.250 0.750
Pu 0.250 0.750 0.250
Pu 0.750 0.250 0.250
Pu 0.750 0.750 0.750
Mg 0.250 0.250 0.250
Mg 0.250 0.750 0.750
Mg 0.750 0.250 0.750
Mg 0.750 0.750 0.250

Most intense lines, 10 to 90 degrees two-theta, most intense first:
- 2θ 32.82, rel. 100
- 2θ 58.59, rel. 39
- 2θ 19.92, rel. 29
- 2θ 47.09, rel. 19
- 2θ 38.69, rel. 17
- 2θ 78.35, rel. 17
- 2θ 68.80, rel. 12
- 2θ 51.61, rel. 8
- 2θ 62.53, rel. 6
- 2θ 72.44, rel. 6
- 2θ 87.57, rel. 4
- 2θ 81.83, rel. 2

---

# PrLuMgTc
Computed PXRD pattern, Cu Kα X-rays. Input: DFT lattice parameters and positions (PBE).

Cell and atoms:
a b c (Å): 7.188 7.188 7.188
angles (deg): 90.00 90.00 90.00
Fractional coordinates of all 16 atoms:
Pr 0.000 0.000 0.000
Pr 0.000 0.500 0.500
Pr 0.500 0.000 0.500
Pr 0.500 0.500 0.000
Lu 0.000 0.000 0.500
Lu 0.000 0.500 0.000
Lu 0.500 0.000 0.000
Lu 0.500 0.500 0.500
Mg 0.250 0.250 0.250
Mg 0.250 0.750 0.750
Mg 0.750 0.250 0.750
Mg 0.750 0.750 0.250
Tc 0.250 0.250 0.750
Tc 0.250 0.750 0.250
Tc 0.750 0.250 0.250
Tc 0.750 0.750 0.750

Most intense lines, 10 to 90 degrees two-theta, most intense first:
- 2θ 35.32, rel. 100
- 2θ 63.39, rel. 36
- 2θ 24.77, rel. 22
- 2θ 50.81, rel. 18
- 2θ 85.43, rel. 16
- 2θ 74.70, rel. 11
- 2θ 57.33, rel. 9
- 2θ 21.41, rel. 8
- 2θ 43.62, rel. 7
- 2θ 80.11, rel. 5
- 2θ 41.67, rel. 4
- 2θ 55.74, rel. 2

---

# TbLuMgSn
Computed PXRD pattern, Cu Kα X-rays. Input: DFT lattice parameters and positions (PBE).

Cell and atoms:
a b c (Å): 7.441 7.441 7.441
angles (deg): 90.00 90.00 90.00
Fractional coordinates of all 16 atoms:
Tb 0.000 0.000 0.000
Tb 0.000 0.500 0.500
Tb 0.500 0.000 0.500
Tb 0.500 0.500 0.000
Lu 0.000 0.000 0.500
Lu 0.000 0.500 0.000
Lu 0.500 0.000 0.000
Lu 0.500 0.500 0.500
Mg 0.250 0.250 0.750
Mg 0.250 0.750 0.250
Mg 0.750 0.250 0.250
Mg 0.750 0.750 0.750
Sn 0.250 0.250 0.250
Sn 0.250 0.750 0.750
Sn 0.750 0.250 0.750
Sn 0.750 0.750 0.250

Most intense lines, 10 to 90 degrees two-theta, most intense first:
- 2θ 34.08, rel. 100
- 2θ 61.00, rel. 38
- 2θ 48.97, rel. 18
- 2θ 23.92, rel. 18
- 2θ 81.88, rel. 17
- 2θ 71.76, rel. 12
- 2θ 20.68, rel. 9
- 2θ 55.21, rel. 7
- 2θ 42.07, rel. 5
- 2θ 40.20, rel. 5
- 2θ 76.87, rel. 3
- 2θ 53.69, rel. 2

---

# SrLuMg2
Computed PXRD pattern, Cu Kα X-rays. Input: DFT lattice parameters and positions (PBE).

Cell and atoms:
a b c (Å): 3.928 3.928 8.016
angles (deg): 90.00 90.00 90.00
Fractional coordinates of all 4 atoms:
Sr 0.000 0.000 0.000
Lu 0.000 0.000 0.500
Mg 0.500 0.500 0.287
Mg 0.500 0.500 0.713

Most intense lines, 10 to 90 degrees two-theta, most intense first:
- 2θ 31.90, rel. 100
- 2θ 22.64, rel. 54
- 2θ 32.23, rel. 50
- 2θ 57.26, rel. 38
- 2θ 22.18, rel. 30
- 2θ 11.04, rel. 28
- 2θ 39.47, rel. 27
- 2θ 46.22, rel. 18
- 2θ 56.63, rel. 18
- 2θ 51.17, rel. 15
- 2θ 51.84, rel. 13
- 2θ 52.06, rel. 12

---

# LuThMgTc
Computed PXRD pattern, Cu Kα X-rays. Input: DFT lattice parameters and positions (PBE).

Cell and atoms:
a b c (Å): 7.186 7.186 7.186
angles (deg): 90.00 90.00 90.00
Fractional coordinates of all 16 atoms:
Lu 0.000 0.000 0.000
Lu 0.000 0.500 0.500
Lu 0.500 0.000 0.500
Lu 0.500 0.500 0.000
Th 0.000 0.000 0.500
Th 0.000 0.500 0.000
Th 0.500 0.000 0.000
Th 0.500 0.500 0.500
Mg 0.250 0.250 0.750
Mg 0.250 0.750 0.250
Mg 0.750 0.250 0.250
Mg 0.750 0.750 0.750
Tc 0.250 0.250 0.250
Tc 0.250 0.750 0.750
Tc 0.750 0.250 0.750
Tc 0.750 0.750 0.250

Most intense lines, 10 to 90 degrees two-theta, most intense first:
- 2θ 35.33, rel. 100
- 2θ 63.41, rel. 37
- 2θ 24.78, rel. 32
- 2θ 50.82, rel. 18
- 2θ 85.45, rel. 17
- 2θ 57.34, rel. 14
- 2θ 74.72, rel. 11
- 2θ 43.63, rel. 10
- 2θ 21.42, rel. 7
- 2θ 80.13, rel. 7
- 2θ 41.68, rel. 4
- 2θ 55.76, rel. 2

---

# YLuMgTc
Computed PXRD pattern, Cu Kα X-rays. Input: DFT lattice parameters and positions (PBE).

Cell and atoms:
a b c (Å): 7.062 7.062 7.062
angles (deg): 90.00 90.00 90.00
Fractional coordinates of all 16 atoms:
Y 0.000 0.000 0.000
Y 0.000 0.500 0.500
Y 0.500 0.000 0.500
Y 0.500 0.500 0.000
Lu 0.000 0.000 0.500
Lu 0.000 0.500 0.000
Lu 0.500 0.000 0.000
Lu 0.500 0.500 0.500
Mg 0.250 0.250 0.750
Mg 0.250 0.750 0.250
Mg 0.750 0.250 0.250
Mg 0.750 0.750 0.750
Tc 0.250 0.250 0.250
Tc 0.250 0.750 0.750
Tc 0.750 0.250 0.750
Tc 0.750 0.750 0.250

Most intense lines, 10 to 90 degrees two-theta, most intense first:
- 2θ 35.97, rel. 100
- 2θ 64.66, rel. 35
- 2θ 21.80, rel. 19
- 2θ 51.78, rel. 17
- 2θ 87.32, rel. 16
- 2θ 25.22, rel. 15
- 2θ 76.27, rel. 11
- 2θ 42.45, rel. 10
- 2θ 58.44, rel. 6
- 2θ 44.44, rel. 5
- 2θ 56.83, rel. 4
- 2θ 80.45, rel. 3

---

# LuMgZr
Computed PXRD pattern, Cu Kα X-rays. Input: DFT lattice parameters and positions (PBE).

Cell and atoms:
a b c (Å): 3.284 3.284 8.123
angles (deg): 90.00 90.00 120.00
Fractional coordinates of all 3 atoms:
Lu 0.000 0.000 0.000
Mg 0.667 0.333 0.354
Zr 0.333 0.667 0.681

Most intense lines, 10 to 90 degrees two-theta, most intense first:
- 2θ 33.38, rel. 100
- 2θ 10.89, rel. 80
- 2θ 38.65, rel. 70
- 2θ 33.08, rel. 29
- 2θ 66.61, rel. 22
- 2θ 55.61, rel. 22
- 2θ 56.01, rel. 19
- 2θ 31.46, rel. 19
- 2θ 66.26, rel. 15
- 2θ 46.30, rel. 14
- 2θ 66.79, rel. 13
- 2θ 21.88, rel. 13

---

# LuMnMo
Computed PXRD pattern, Cu Kα X-rays. Input: DFT lattice parameters and positions (PBE).

Cell and atoms:
a b c (Å): 3.123 3.123 10.459
angles (deg): 90.00 90.00 90.00
Fractional coordinates of all 6 atoms:
Lu 0.000 0.000 0.000
Lu 0.500 0.500 0.500
Mn 0.000 0.000 0.684
Mn 0.500 0.500 0.184
Mo 0.000 0.000 0.303
Mo 0.500 0.500 0.803

Most intense lines, 10 to 90 degrees two-theta, most intense first:
- 2θ 38.71, rel. 100
- 2θ 40.86, rel. 47
- 2θ 29.86, rel. 32
- 2θ 72.97, rel. 30
- 2θ 59.17, rel. 16
- 2θ 54.38, rel. 15
- 2θ 34.30, rel. 14
- 2θ 68.59, rel. 13
- 2θ 69.78, rel. 12
- 2θ 83.03, rel. 8
- 2θ 52.50, rel. 7
- 2θ 70.20, rel. 7